Ho4MgS7: computed PXRD pattern (CuKα), based on a cell relaxed with GGA-PBE.

The 8 most intense peaks (15 to 90 degrees two-theta), sorted by position:
Position (°2θ)	Rel. int.	(hkl)
24.38	100	2 0 2
24.80	93	2 0 -3
28.40	93	4 0 -1
31.91	52	3 1 -1
32.34	71	3 1 0
33.55	52	3 1 -2
34.75	64	3 1 1
47.93	60	0 2 0

Crystal structure
Unit cell a=12.5729 b=3.7936 c=11.4562 alpha=90.00 beta=104.89 gamma=90.00
Space group Cm (No. 8)
Inequivalent atoms, fractional coordinates:
Ho (0.0000, 0.0000, 0.0000) [2 per cell]
Ho (0.0792, 0.5000, 0.3645) [2 per cell]
Ho (0.1932, 0.5000, 0.8016) [2 per cell]
Ho (0.3863, 0.0000, 0.5984) [2 per cell]
Mg (0.3073, 0.5000, 0.2179) [2 per cell]
S (0.0333, 0.0000, 0.7450) [2 per cell]
S (0.1568, 0.5000, 0.0198) [2 per cell]
S (0.1978, 0.0000, 0.2946) [2 per cell]
S (0.2309, 0.5000, 0.5813) [2 per cell]
S (0.3539, 0.0000, 0.8469) [2 per cell]
S (0.4264, 0.0000, 0.1489) [2 per cell]
S (0.4497, 0.5000, 0.4375) [2 per cell]